Simulated powder diffractogram
Compound: CsK3Na4
Radiation: Cu Kα (weighted mean of Kα1 and Kα2)
Structure: DFT lattice parameters and positions (PBE)
Kinematic intensities with the Lorentz-polarization factor, no thermal factor.

Main lines, low angle first (2θ = 15–90°):
(0 1 1), 5.682 Å, 15.60 deg, I 11
(2 1 0), 5.555 Å, 15.95 deg, I 12
(2 0 1), 4.927 Å, 18.00 deg, I 29
(0 2 0), 4.747 Å, 18.69 deg, I 14
(2 1 1), 4.373 Å, 20.31 deg, I 20
(0 0 2), 3.546 Å, 25.11 deg, I 20
(4 0 0), 3.426 Å, 26.01 deg, I 35
(2 2 1), 3.419 Å, 26.07 deg, I 100
(2 0 2), 3.149 Å, 28.34 deg, I 10
(4 0 2), 2.463 Å, 36.47 deg, I 14
(6 2 1), 1.975 Å, 45.95 deg, I 26
(4 4 0), 1.951 Å, 46.55 deg, I 11

Structure:
Cell lengths 13.6992, 9.4943, 7.0922 Å; angles 90.00, 90.00, 90.00 degrees
Space group Pmma (No. 51)
Symmetry-distinct sites (fractional):
Cs1 0.0000 0.0000 0.0000 (multiplicity 2)
K1 0.0000 0.5000 0.0000 (multiplicity 2)
K2 0.2500 0.0000 0.4442 (multiplicity 2)
K3 0.2500 0.5000 0.4086 (multiplicity 2)
Na1 0.0000 0.2762 0.5000 (multiplicity 4)
Na2 0.2500 0.2813 0.8916 (multiplicity 4)